Entry 1:
Calculated powder X-ray diffraction pattern of Cs3PbSe3 for a wavelength of 1.5418 Å, from a crystal structure in Alexandria, relaxed with PBE.

Atomic structure:
```
28
Lattice="10.269 0.000 0.000 0.000 8.929 0.000 -1.748 0.000 14.227" Properties=species:S:1:pos:R:3 pbc="T T T"
Cs 0.571 1.422 1.839
Cs -0.303 3.043 8.953
Cs 1.929 6.479 11.256
Cs 2.803 6.914 4.142
Cs 2.459 2.042 13.119
Cs 3.333 2.422 6.006
Cs 5.188 6.507 8.221
Cs 6.062 6.887 1.107
Cs 5.718 2.014 10.085
Cs 6.592 2.450 2.971
Cs 8.824 5.886 5.274
Cs 7.950 7.507 12.387
Pb 1.617 5.219 0.713
Pb 0.743 8.175 7.826
Pb 7.778 0.754 6.400
Pb 6.904 3.710 13.514
Se 0.258 0.504 5.303
Se -0.616 3.961 12.417
Se 1.697 5.615 7.409
Se 2.571 7.778 0.296
Se 2.570 0.651 9.323
Se 3.444 3.813 2.209
Se 5.077 5.116 12.017
Se 5.951 8.278 4.904
Se 5.950 1.151 13.931
Se 6.824 3.314 6.818
Se 9.137 4.968 1.810
Se 8.263 8.425 8.923
```

Largest 10 diffraction maxima, by angle, 15 to 90 degrees two-theta:
- 2θ = 22.51°, I = 49
- 2θ = 22.92°, I = 65
- 2θ = 26.98°, I = 83
- 2θ = 27.42°, I = 87
- 2θ = 27.74°, I = 55
- 2θ = 28.10°, I = 97
- 2θ = 28.47°, I = 61
- 2θ = 32.41°, I = 41
- 2θ = 33.13°, I = 42
- 2θ = 34.22°, I = 100


Entry 2:
Calculated powder X-ray diffraction pattern of Ga2HgCl8 for a wavelength of 1.5418 Å, from a crystal structure in Alexandria, relaxed with PBE.

Atomic structure:
```
11
Lattice="6.283 -4.736 0.000 6.283 4.736 0.000 -0.704 0.000 6.235" Properties=species:S:1:pos:R:3 pbc="T T T"
Ga 2.403 0.000 0.961
Ga 9.460 0.000 5.274
Hg -0.352 0.000 3.118
Cl 4.450 3.020 4.554
Cl 1.811 0.000 4.988
Cl 7.412 3.020 1.681
Cl 4.382 0.000 1.774
Cl 7.480 0.000 4.461
Cl 4.450 -3.020 4.554
Cl 10.052 0.000 1.247
Cl 7.412 -3.020 1.681
```

Largest 10 diffraction maxima, by angle, 15 to 90 degrees two-theta:
- 2θ = 18.74°, I = 92
- 2θ = 19.07°, I = 100
- 2θ = 21.24°, I = 62
- 2θ = 26.12°, I = 30
- 2θ = 26.77°, I = 86
- 2θ = 28.68°, I = 54
- 2θ = 36.10°, I = 52
- 2θ = 37.23°, I = 31
- 2θ = 37.64°, I = 38
- 2θ = 46.35°, I = 35


What did the first record say?
Calculated powder X-ray diffraction pattern of Cs3PbSe3 for a wavelength of 1.5418 Å, from a crystal structure in Alexandria, relaxed with PBE.

Atomic structure:
```
28
Lattice="10.269 0.000 0.000 0.000 8.929 0.000 -1.748 0.000 14.227" Properties=species:S:1:pos:R:3 pbc="T T T"
Cs 0.571 1.422 1.839
Cs -0.303 3.043 8.953
Cs 1.929 6.479 11.256
Cs 2.803 6.914 4.142
Cs 2.459 2.042 13.119
Cs 3.333 2.422 6.006
Cs 5.188 6.507 8.221
Cs 6.062 6.887 1.107
Cs 5.718 2.014 10.085
Cs 6.592 2.450 2.971
Cs 8.824 5.886 5.274
Cs 7.950 7.507 12.387
Pb 1.617 5.219 0.713
Pb 0.743 8.175 7.826
Pb 7.778 0.754 6.400
Pb 6.904 3.710 13.514
Se 0.258 0.504 5.303
Se -0.616 3.961 12.417
Se 1.697 5.615 7.409
Se 2.571 7.778 0.296
Se 2.570 0.651 9.323
Se 3.444 3.813 2.209
Se 5.077 5.116 12.017
Se 5.951 8.278 4.904
Se 5.950 1.151 13.931
Se 6.824 3.314 6.818
Se 9.137 4.968 1.810
Se 8.263 8.425 8.923
```

Largest 10 diffraction maxima, by angle, 15 to 90 degrees two-theta:
- 2θ = 22.51°, I = 49
- 2θ = 22.92°, I = 65
- 2θ = 26.98°, I = 83
- 2θ = 27.42°, I = 87
- 2θ = 27.74°, I = 55
- 2θ = 28.10°, I = 97
- 2θ = 28.47°, I = 61
- 2θ = 32.41°, I = 41
- 2θ = 33.13°, I = 42
- 2θ = 34.22°, I = 100


> Which formula does entry 2 have?

Ga2HgCl8